# 1
Structure and computed powder XRD pattern of LiNp2S4 (a structure optimized by DFT (GGA-PBE); Cu Kα (weighted mean of Kα1 and Kα2)).
Neutral-atom scattering factors, no anomalous dispersion.

Cell and atoms:
a b c (Å): 6.8200 10.5430 4.0446
angles (deg): 90.00 90.00 90.00
Space group Pbam (No. 55)
Inequivalent atoms, fractional coordinates:
1 Li 0.0000 0.0000 0.0000 (multiplicity 2)
2 Np 0.1066 0.3165 0.5000 (multiplicity 4)
3 S 0.1166 0.7881 0.0000 (multiplicity 4)
4 S 0.2383 0.5544 0.5000 (multiplicity 4)

Largest 10 diffraction maxima, sorted by position, 2θ from 10° to 90°:
- 15.47°, intensity 29.0, hkl 1 1 0
- 16.82°, intensity 66.9, hkl 0 2 0
- 21.30°, intensity 28.6, hkl 1 2 0
- 21.98°, intensity 77.3, hkl 0 0 1
- 27.49°, intensity 50.1, hkl 2 1 0
- 28.57°, intensity 38.4, hkl 1 3 0
- 35.47°, intensity 100.0, hkl 2 1 1
- 36.34°, intensity 57.3, hkl 1 3 1
- 36.55°, intensity 30.8, hkl 1 4 0
- 43.06°, intensity 26.0, hkl 1 4 1

***

# 2
Structure and computed powder XRD pattern of Dy3TmSn2C (a structure optimized by DFT (GGA-PBE); Cu Kα (weighted mean of Kα1 and Kα2)).
Neutral-atom scattering factors, no anomalous dispersion.

Cell and atoms:
a b c (Å): 4.7408 4.7903 15.9338
angles (deg): 90.00 90.00 90.00
Space group Immm (No. 71)
Inequivalent atoms, fractional coordinates:
1 Dy 0.0000 0.0000 0.0000 (multiplicity 2)
2 Dy 0.0000 0.5000 0.1590 (multiplicity 4)
3 Tm 0.0000 0.0000 0.5000 (multiplicity 2)
4 Sn 0.0000 0.5000 0.3601 (multiplicity 4)
5 C 0.0000 0.5000 0.0000 (multiplicity 2)

Largest 10 diffraction maxima, sorted by position, 2θ from 10° to 90°:
- 11.11°, intensity 17.6, hkl 0 0 2
- 28.77°, intensity 71.1, hkl 1 1 2
- 33.75°, intensity 32.1, hkl 0 0 6
- 34.87°, intensity 100.0, hkl 1 1 4
- 37.55°, intensity 29.3, hkl 0 2 0
- 37.96°, intensity 28.4, hkl 2 0 0
- 51.37°, intensity 17.7, hkl 0 2 6
- 51.69°, intensity 19.3, hkl 2 0 6
- 54.46°, intensity 20.2, hkl 2 2 0
- 64.71°, intensity 18.4, hkl 1 1 10